This entry pairs a crystal structure of GeH3F8 with its simulated powder X-ray diffraction pattern. Radiation: copper Kα. Structure: a crystal structure in Alexandria, relaxed with GGA-PBE.
Lines closer than 0.1° are merged.

Largest 10 diffraction maxima, in order of falling intensity, 2θ from 10° to 90°:
2θ = 12.48°, d 7.094, I = 100.0, hkl 0 2 0
2θ = 17.47°, d 5.075, I = 66.6, hkl 0 1 1
2θ = 20.58°, d 4.315, I = 52.6, hkl 0 2 1
2θ = 36.21°, d 2.481, I = 20.9, hkl 1 4 1
2θ = 16.31°, d 5.435, I = 20.8, hkl 0 0 1
2θ = 26.30°, d 3.388, I = 18.3, hkl 1 1 -1
2θ = 19.59°, d 4.531, I = 17.1, hkl 1 0 0
2θ = 24.96°, d 3.568, I = 16.4, hkl 0 3 1
2θ = 23.29°, d 3.819, I = 15.0, hkl 1 2 0
2θ = 43.19°, d 2.095, I = 14.8, hkl 1 3 -2

a = 4.5309 Å, b = 14.1888 Å, c = 5.4348 Å
α = 90.00°, β = 90.31°, γ = 90.00°
Sites, in units of the cell vectors:
Ge 0.1119 0.0000 0.3674
Ge 0.8881 0.5000 0.6326
H 0.1534 0.8239 0.6538
H 0.1932 0.2582 0.1541
H 0.4022 0.4228 0.8050
H 0.5978 0.9228 0.1950
H 0.8068 0.7582 0.8459
H 0.8466 0.3239 0.3462
F 0.0125 0.5737 0.8751
F 0.0721 0.7612 0.6868
F 0.1450 0.5445 0.4051
F 0.1514 0.4049 0.7284
F 0.2677 0.9207 0.5934
F 0.3738 0.2611 0.0546
F 0.3769 0.9400 0.1324
F 0.3972 0.0884 0.4248
F 0.6028 0.5884 0.5752
F 0.6231 0.4400 0.8676
F 0.6262 0.7611 0.9454
F 0.7323 0.4207 0.4066
F 0.8486 0.9049 0.2716
F 0.8550 0.0445 0.5949
F 0.9279 0.2612 0.3132
F 0.9875 0.0737 0.1249


This entry pairs a crystal structure of GeHF4 with its simulated powder X-ray diffraction pattern. Radiation: copper Kα. Structure: a crystal structure in Alexandria, relaxed with GGA-PBE.
Lines closer than 0.1° are merged.

Largest 10 diffraction maxima, in order of falling intensity, 2θ from 10° to 90°:
2θ = 22.41°, d 3.968, I = 100.0, hkl 1 0 1
2θ = 36.60°, d 2.455, I = 40.6, hkl 1 1 2
2θ = 44.37°, d 2.042, I = 27.0, hkl 2 1 1
2θ = 26.47°, d 3.367, I = 18.2, hkl 1 1 0
2θ = 57.99°, d 1.590, I = 16.4, hkl 1 2 3
2θ = 45.74°, d 1.984, I = 13.7, hkl 2 0 2
2θ = 42.29°, d 2.137, I = 12.8, hkl 1 0 3
2θ = 24.82°, d 3.587, I = 10.6, hkl 0 0 2
2θ = 65.11°, d 1.433, I = 9.9, hkl 2 0 4
2θ = 72.81°, d 1.299, I = 8.2, hkl 3 2 1

a = 4.7622 Å, b = 4.7622 Å, c = 7.1742 Å
α = 90.00°, β = 90.00°, γ = 90.00°
Sites, in units of the cell vectors:
Ge 0.0000 0.0000 0.0000
Ge 0.5000 0.5000 0.5000
H 0.0000 0.5000 0.7500
H 0.5000 0.0000 0.2500
F 0.1714 0.7069 0.8646
F 0.2069 0.3286 0.6354
F 0.2931 0.1714 0.1354
F 0.3286 0.7931 0.3646
F 0.6714 0.2069 0.3646
F 0.7069 0.8286 0.1354
F 0.7931 0.6714 0.6354
F 0.8286 0.2931 0.8646


This entry pairs a crystal structure of GeH10N4F6 with its simulated powder X-ray diffraction pattern. Radiation: copper Kα. Structure: a crystal structure in Alexandria, relaxed with GGA-PBE.
Lines closer than 0.1° are merged.

Largest 10 diffraction maxima, in order of falling intensity, 2θ from 10° to 90°:
2θ = 18.19°, d 4.878, I = 100.0, hkl 0 1 1
2θ = 15.23°, d 5.819, I = 55.0, hkl 1 0 0
2θ = 18.45°, d 4.810, I = 37.2, hkl 1 0 -2
2θ = 25.16°, d 3.540, I = 32.3, hkl 1 1 1
2θ = 29.24°, d 3.054, I = 30.3, hkl 1 1 -3
2θ = 15.39°, d 5.758, I = 29.0, hkl 0 0 2
2θ = 24.57°, d 3.623, I = 23.7, hkl 1 0 2
2θ = 28.56°, d 3.126, I = 21.0, hkl 0 1 3
2θ = 46.16°, d 1.966, I = 20.8, hkl 0 2 4
2θ = 22.37°, d 3.974, I = 19.8, hkl 1 1 -1

a = 6.0535 Å, b = 5.3854 Å, c = 11.9802 Å
α = 90.00°, β = 106.02°, γ = 90.00°
Sites, in units of the cell vectors:
Ge 0.0000 0.0000 0.0000
Ge 0.0000 0.5000 0.5000
H 0.1700 0.1527 0.6949
H 0.1700 0.3473 0.1949
H 0.2284 0.5323 0.3129
H 0.2284 0.9677 0.8129
H 0.2797 0.1185 0.3650
H 0.2797 0.3815 0.8650
H 0.4230 0.5054 0.2330
H 0.4230 0.9946 0.7330
H 0.4764 0.7267 0.5953
H 0.4764 0.7733 0.0953
H 0.5236 0.2267 0.9047
H 0.5236 0.2733 0.4047
H 0.5770 0.0054 0.2670
H 0.5770 0.4946 0.7670
H 0.7203 0.6185 0.1350
H 0.7203 0.8815 0.6350
H 0.7716 0.0323 0.1871
H 0.7716 0.4677 0.6871
H 0.8300 0.6527 0.8051
H 0.8300 0.8473 0.3051
N 0.2998 0.0909 0.7655
N 0.2998 0.4091 0.2655
N 0.4057 0.1977 0.3342
N 0.4057 0.3023 0.8342
N 0.5943 0.6977 0.1658
N 0.5943 0.8023 0.6658
N 0.7002 0.5909 0.7345
N 0.7002 0.9091 0.2345
F 0.0526 0.7324 0.6147
F 0.0526 0.7676 0.1147
F 0.0978 0.7181 0.4019
F 0.0978 0.7819 0.9019
F 0.2942 0.1123 0.0568
F 0.2942 0.3877 0.5568
F 0.7058 0.6123 0.4432
F 0.7058 0.8877 0.9432
F 0.9022 0.2181 0.0981
F 0.9022 0.2819 0.5981
F 0.9474 0.2324 0.8853
F 0.9474 0.2676 0.3853


This entry pairs a crystal structure of GeH4NF3 with its simulated powder X-ray diffraction pattern. Radiation: copper Kα. Structure: a crystal structure in Alexandria, relaxed with GGA-PBE.
Lines closer than 0.1° are merged.

Largest 10 diffraction maxima, in order of falling intensity, 2θ from 10° to 90°:
2θ = 25.24°, d 3.528, I = 100.0, hkl 1 0 1
2θ = 18.88°, d 4.700, I = 94.6, hkl 0 0 1
2θ = 19.47°, d 4.559, I = 92.9, hkl 1 0 0
2θ = 24.93°, d 3.572, I = 76.9, hkl 1 1 0
2θ = 19.14°, d 4.637, I = 70.4, hkl 0 1 0
2θ = 29.75°, d 3.003, I = 48.0, hkl 1 -1 0
2θ = 41.46°, d 2.178, I = 45.5, hkl 1 2 1
2θ = 38.30°, d 2.350, I = 41.6, hkl 0 0 2
2θ = 39.53°, d 2.280, I = 34.8, hkl 2 0 0
2θ = 28.68°, d 3.112, I = 32.0, hkl 0 1 -1

a = 4.6921 Å, b = 4.7623 Å, c = 4.8028 Å
α = 81.23°, β = 80.51°, γ = 78.90°
Sites, in units of the cell vectors:
Ge 0.0000 0.0000 0.0000
H 0.3202 0.6648 0.5080
H 0.5164 0.4075 0.7248
H 0.5614 0.3960 0.3659
H 0.6858 0.6513 0.4967
N 0.5204 0.5291 0.5258
F 0.5945 0.1745 0.0657
F 0.9109 0.6379 0.9841
F 0.9892 0.8988 0.4056